No. 1
For OsW3, the PBE geometry in Alexandria gives the computed powder XRD pattern in this record (Cu Kα (weighted mean of Kα1 and Kα2)).
Peak positions follow from Bragg's law for the DFT cell and can differ from measured ones.

Main lines, sorted by position (2θ = 10–90°):
- hkl 2 2 1, 2.242 Å, 40.22 deg, I = 100
- hkl 0 4 0, 2.231 Å, 40.42 deg, I = 24
- hkl 0 0 2, 2.209 Å, 40.86 deg, I = 24
- hkl 4 0 0, 1.602 Å, 57.54 deg, I = 10
- hkl 0 4 2, 1.570 Å, 58.82 deg, I = 16
- hkl 4 4 0, 1.301 Å, 72.66 deg, I = 8
- hkl 4 0 2, 1.297 Å, 72.96 deg, I = 9
- hkl 2 6 1, 1.290 Å, 73.37 deg, I = 15
- hkl 2 2 3, 1.282 Å, 73.96 deg, I = 17
- hkl 4 4 2, 1.121 Å, 86.88 deg, I = 11

Crystal structure
```
data_OsW3
_space_group_name_H-M_alt 'C m c m'
_space_group_IT_number 63
_space_group_name_Hall '-C 2c 2'
_cell_length_a 6.407
_cell_length_b 8.926
_cell_length_c 4.418
_cell_angle_alpha 90.00
_cell_angle_beta 90.00
_cell_angle_gamma 90.00
loop_
_atom_site_label
_atom_site_type_symbol
_atom_site_fract_x
_atom_site_fract_y
_atom_site_fract_z
Os1 Os 0.000 0.107 0.250
W1 W 0.000 0.370 0.750
W2 W 0.242 0.372 0.250
```

No. 2
For Rb2PuP2N6, the PBE geometry in Alexandria gives the computed powder XRD pattern in this record (Cu Kα (weighted mean of Kα1 and Kα2)).
Peak positions follow from Bragg's law for the DFT cell and can differ from measured ones.

Main lines, sorted by position (2θ = 10–90°):
- hkl 0 0 3, 6.484 Å, 13.66 deg, I = 20
- hkl 1 0 1, 4.881 Å, 18.17 deg, I = 62
- hkl 1 0 4, 3.500 Å, 25.45 deg, I = 30
- hkl 0 1 5, 3.080 Å, 28.99 deg, I = 100
- hkl 1 1 0, 2.911 Å, 30.71 deg, I = 71
- hkl 0 2 4, 2.238 Å, 40.29 deg, I = 19
- hkl 0 0 9, 2.165 Å, 41.71 deg, I = 18
- hkl 2 0 5, 2.116 Å, 42.74 deg, I = 27
- hkl 1 0 10, 1.815 Å, 50.28 deg, I = 20
- hkl 1 2 5, 1.711 Å, 53.54 deg, I = 33

Crystal structure
```
data_Rb2PuP2N6
_space_group_name_H-M_alt 'R -3 m'
_space_group_IT_number 166
_space_group_name_Hall '-R 3 2"'
_cell_length_a 5.8225
_cell_length_b 5.8225
_cell_length_c 19.4510
_cell_angle_alpha 90.00
_cell_angle_beta 90.00
_cell_angle_gamma 120.00
loop_
_atom_site_label
_atom_site_type_symbol
_atom_site_fract_x
_atom_site_fract_y
_atom_site_fract_z
Rb1 Rb 0.0000 0.0000 0.2069
Pu1 Pu 0.0000 0.0000 0.0000
P1 P 0.0000 0.0000 0.3970
N1 N 0.0197 0.5098 0.2664
```

No. 3
For AuBrO2, the PBE geometry in Alexandria gives the computed powder XRD pattern in this record (Cu Kα (weighted mean of Kα1 and Kα2)).
Peak positions follow from Bragg's law for the DFT cell and can differ from measured ones.

Main lines, sorted by position (2θ = 10–90°):
- hkl 0 2 0, 5.877 Å, 15.08 deg, I = 89
- hkl 1 1 1, 3.460 Å, 25.75 deg, I = 100
- hkl 0 2 1, 3.381 Å, 26.36 deg, I = 16
- hkl 2 2 0, 3.161 Å, 28.23 deg, I = 37
- hkl 1 3 1, 2.659 Å, 33.71 deg, I = 50
- hkl 2 4 0, 2.313 Å, 38.94 deg, I = 35
- hkl 3 1 1, 2.105 Å, 42.97 deg, I = 32
- hkl 1 5 1, 1.972 Å, 46.04 deg, I = 24
- hkl 4 0 0, 1.877 Å, 48.50 deg, I = 25
- hkl 2 0 2, 1.810 Å, 50.41 deg, I = 17

Crystal structure
```
data_AuBrO2
_space_group_name_H-M_alt 'C 2 2 21'
_space_group_IT_number 20
_cell_length_a 7.500
_cell_length_b 11.753
_cell_length_c 4.134
_cell_angle_alpha 90.00
_cell_angle_beta 90.00
_cell_angle_gamma 90.00
loop_
_space_group_symop_operation_xyz
'x,y,z'
'-x,-y,z+1/2'
'x,-y,-z'
'-x,y,-z+1/2'
'x+1/2,y+1/2,z'
'-x+1/2,-y+1/2,z+1/2'
'x+1/2,-y+1/2,-z'
'-x+1/2,y+1/2,-z+1/2'
loop_
_atom_site_label
_atom_site_type_symbol
_atom_site_fract_x
_atom_site_fract_y
_atom_site_fract_z
Au1 Au 0.237 0.000 0.000
Br1 Br 0.000 0.130 0.250
O1 O 0.086 0.404 0.785
```

No. 4
For Nd6Fe13As, the PBE geometry in Alexandria gives the computed powder XRD pattern in this record (Cu Kα (weighted mean of Kα1 and Kα2)).
Peak positions follow from Bragg's law for the DFT cell and can differ from measured ones.

Main lines, sorted by position (2θ = 10–90°):
- hkl 2 1 3, 3.245 Å, 27.49 deg, I = 80
- hkl 2 1 5, 2.823 Å, 31.70 deg, I = 90
- hkl 1 1 8, 2.556 Å, 35.11 deg, I = 33
- hkl 3 1 0, 2.535 Å, 35.41 deg, I = 100
- hkl 2 0 8, 2.330 Å, 38.65 deg, I = 68
- hkl 3 1 4, 2.318 Å, 38.86 deg, I = 34
- hkl 2 1 9, 2.075 Å, 43.61 deg, I = 38
- hkl 4 1 1, 1.937 Å, 46.91 deg, I = 42
- hkl 3 3 8, 1.577 Å, 58.54 deg, I = 34
- hkl 5 3 0, 1.375 Å, 68.22 deg, I = 35

Crystal structure
```
data_Nd6Fe13As
_space_group_name_H-M_alt 'I 4/m c m'
_space_group_IT_number 140
_space_group_name_Hall '-I 4 2c'
_cell_length_a 8.015
_cell_length_b 8.015
_cell_length_c 22.907
_cell_angle_alpha 90.00
_cell_angle_beta 90.00
_cell_angle_gamma 90.00
loop_
_atom_site_label
_atom_site_type_symbol
_atom_site_fract_x
_atom_site_fract_y
_atom_site_fract_z
Nd1 Nd 0.000 0.000 0.108
Nd2 Nd 0.164 0.336 0.189
Fe1 Fe 0.000 0.500 0.000
Fe2 Fe 0.067 0.209 0.500
Fe3 Fe 0.113 0.387 0.404
Fe4 Fe 0.179 0.321 0.060
As1 As 0.000 0.000 0.250
```

No. 5
For Pr7Ga2Au2, the PBE geometry in Alexandria gives the computed powder XRD pattern in this record (Cu Kα (weighted mean of Kα1 and Kα2)).
Peak positions follow from Bragg's law for the DFT cell and can differ from measured ones.

Main lines, sorted by position (2θ = 10–90°):
- hkl 2 0 1, 3.577 Å, 24.89 deg, I = 54
- hkl 2 2 0, 3.303 Å, 26.99 deg, I = 32
- hkl 1 1 2, 3.250 Å, 27.44 deg, I = 30
- hkl 1 3 1, 3.106 Å, 28.74 deg, I = 23
- hkl 0 4 0, 2.820 Å, 31.73 deg, I = 60
- hkl 2 0 2, 2.753 Å, 32.53 deg, I = 31
- hkl 1 3 2, 2.520 Å, 35.63 deg, I = 52
- hkl 2 2 2, 2.474 Å, 36.31 deg, I = 100
- hkl 0 0 4, 1.867 Å, 48.79 deg, I = 25
- hkl 4 4 0, 1.651 Å, 55.67 deg, I = 21

Crystal structure
```
data_Pr7Ga2Au2
_space_group_name_H-M_alt 'C m m m'
_space_group_IT_number 65
_space_group_name_Hall '-C 2 2'
_cell_length_a 8.150
_cell_length_b 11.281
_cell_length_c 7.467
_cell_angle_alpha 90.00
_cell_angle_beta 90.00
_cell_angle_gamma 90.00
loop_
_atom_site_label
_atom_site_type_symbol
_atom_site_fract_x
_atom_site_fract_y
_atom_site_fract_z
Pr1 Pr 0.000 0.000 0.000
Pr2 Pr 0.000 0.500 0.269
Pr3 Pr 0.250 0.250 0.283
Ga1 Ga 0.159 0.000 0.500
Au1 Au 0.000 0.287 0.000
```

No. 6
For V5Re4W2, the PBE geometry in Alexandria gives the computed powder XRD pattern in this record (Cu Kα (weighted mean of Kα1 and Kα2)).
Peak positions follow from Bragg's law for the DFT cell and can differ from measured ones.

Main lines, sorted by position (2θ = 10–90°):
- hkl 0 1 0, 6.303 Å, 14.05 deg, I = 45
- hkl 0 1 -1, 4.845 Å, 18.31 deg, I = 45
- hkl 0 1 -2, 3.554 Å, 25.05 deg, I = 36
- hkl 1 1 2, 2.419 Å, 37.16 deg, I = 16
- hkl -1 1 2, 2.183 Å, 41.37 deg, I = 53
- hkl 1 2 0, 2.144 Å, 42.16 deg, I = 100
- hkl 1 0 3, 2.138 Å, 42.27 deg, I = 48
- hkl 0 1 5, 2.109 Å, 42.89 deg, I = 46
- hkl 0 2 -3, 2.067 Å, 43.79 deg, I = 44
- hkl 2 1 -2, 1.252 Å, 75.98 deg, I = 17

Crystal structure
```
data_V5Re4W2
_space_group_name_H-M_alt 'P -1'
_space_group_IT_number 2
_cell_length_a 2.670
_cell_length_b 6.565
_cell_length_c 10.601
_cell_angle_alpha 74.92
_cell_angle_beta 85.69
_cell_angle_gamma 82.94
loop_
_space_group_symop_operation_xyz
'x,y,z'
'-x,-y,-z'
loop_
_atom_site_label
_atom_site_type_symbol
_atom_site_fract_x
_atom_site_fract_y
_atom_site_fract_z
V1 V 0.000 0.000 0.000
V2 V 0.138 0.917 0.618
V3 V 0.255 0.386 0.921
Re1 Re 0.085 0.461 0.305
Re2 Re 0.460 0.779 0.852
W1 W 0.404 0.297 0.551
```

No. 7
For Ca2Zn12Au7, the PBE geometry in Alexandria gives the computed powder XRD pattern in this record (Cu Kα (weighted mean of Kα1 and Kα2)).
Peak positions follow from Bragg's law for the DFT cell and can differ from measured ones.

Main lines, sorted by position (2θ = 10–90°):
- hkl 0 1 1, 3.832 Å, 23.21 deg, I = 47
- hkl 1 2 0, 3.402 Å, 26.20 deg, I = 100
- hkl 3 -1 1, 2.652 Å, 33.80 deg, I = 82
- hkl 3 0 1, 2.448 Å, 36.71 deg, I = 40
- hkl 3 1 1, 2.150 Å, 42.02 deg, I = 80
- hkl 0 0 2, 2.118 Å, 42.70 deg, I = 32
- hkl 0 4 1, 1.987 Å, 45.66 deg, I = 31
- hkl 4 1 0, 1.963 Å, 46.24 deg, I = 75
- hkl 5 -2 1, 1.856 Å, 49.09 deg, I = 31
- hkl 5 -4 2, 1.440 Å, 64.73 deg, I = 34

Crystal structure
```
data_Ca2Zn12Au7
_space_group_name_H-M_alt 'P -3'
_space_group_IT_number 147
_cell_length_a 10.3924
_cell_length_b 10.3924
_cell_length_c 4.2352
_cell_angle_alpha 90.00
_cell_angle_beta 90.00
_cell_angle_gamma 120.00
loop_
_space_group_symop_operation_xyz
'x,y,z'
'-x,-y,-z'
'-y,x-y,z'
'y,-x+y,-z'
'-x+y,-x,z'
'x-y,x,-z'
loop_
_atom_site_label
_atom_site_type_symbol
_atom_site_fract_x
_atom_site_fract_y
_atom_site_fract_z
Ca1 Ca 0.3333 0.6667 0.2469
Zn1 Zn 0.0396 0.6101 0.7517
Zn2 Zn 0.1188 0.8536 0.2395
Au1 Au 0.0000 0.0000 0.5000
Au2 Au 0.1296 0.4143 0.7472
```